1.
This entry pairs a crystal structure of Cs2HgSbCl6 with its computed X-ray powder pattern. Radiation: copper Kα. Structure: a cell relaxed with PBE.

Peak list (12 most intense, 2θ from 15° to 90°, by angle)
| 2θ (°) | I/Imax |
| --- | --- |
| 15.9 | 8 |
| 22.5 | 100 |
| 32.0 | 51 |
| 39.5 | 47 |
| 45.9 | 35 |
| 51.7 | 23 |
| 57.1 | 12 |
| 62.2 | 26 |
| 71.7 | 13 |
| 76.2 | 15 |
| 85.1 | 11 |
| 89.4 | 15 |

Structure:
a b c (Å): 7.901 7.901 7.901
angles (deg): 60.00 60.00 60.00
Element x y z (fractional)
1 Cs 0.250 0.250 0.250
2 Cs 0.750 0.750 0.750
3 Hg 0.000 0.000 0.000
4 Sb 0.500 0.500 0.500
5 Cl 0.263 0.263 0.737
6 Cl 0.263 0.737 0.263
7 Cl 0.263 0.737 0.737
8 Cl 0.737 0.263 0.263
9 Cl 0.737 0.263 0.737
10 Cl 0.737 0.737 0.263



2.
This entry pairs a crystal structure of Cs2YHgCl6 with its computed X-ray powder pattern. Radiation: copper Kα. Structure: a cell relaxed with PBE.

Peak list (12 most intense, 2θ from 15° to 90°, by angle)
| 2θ (°) | I/Imax |
| --- | --- |
| 22.4 | 100 |
| 26.3 | 8 |
| 31.9 | 53 |
| 39.3 | 47 |
| 45.7 | 37 |
| 51.5 | 23 |
| 56.8 | 12 |
| 61.8 | 26 |
| 71.2 | 13 |
| 75.7 | 15 |
| 84.5 | 12 |
| 88.8 | 15 |

Structure:
a b c (Å): 7.942 7.942 7.942
angles (deg): 60.00 60.00 60.00
Element x y z (fractional)
1 Cs 0.250 0.250 0.250
2 Cs 0.750 0.750 0.750
3 Y 0.000 0.000 0.000
4 Hg 0.500 0.500 0.500
5 Cl 0.236 0.236 0.764
6 Cl 0.236 0.764 0.236
7 Cl 0.236 0.764 0.764
8 Cl 0.764 0.236 0.236
9 Cl 0.764 0.236 0.764
10 Cl 0.764 0.764 0.236



3.
This entry pairs a crystal structure of CsHo2Cl7 with its computed X-ray powder pattern. Radiation: copper Kα. Structure: a cell relaxed with PBE.

Peak list (12 most intense, 2θ from 15° to 90°, by angle)
| 2θ (°) | I/Imax |
| --- | --- |
| 19.0 | 14 |
| 19.3 | 100 |
| 25.3 | 50 |
| 31.3 | 19 |
| 34.3 | 29 |
| 35.0 | 14 |
| 36.4 | 33 |
| 38.7 | 27 |
| 41.0 | 29 |
| 41.1 | 17 |
| 43.0 | 15 |
| 44.5 | 14 |

Structure:
a b c (Å): 13.835 7.060 12.721
angles (deg): 90.00 90.00 90.00
Element x y z (fractional)
1 Cs 0.041 0.250 0.195
2 Cs 0.459 0.750 0.695
3 Cs 0.541 0.250 0.305
4 Cs 0.959 0.750 0.805
5 Ho 0.238 0.250 0.540
6 Ho 0.250 0.250 0.843
7 Ho 0.250 0.750 0.343
8 Ho 0.262 0.750 0.040
9 Ho 0.738 0.250 0.960
10 Ho 0.750 0.250 0.657
11 Ho 0.750 0.750 0.157
12 Ho 0.762 0.750 0.460
13 Cl 0.113 0.750 0.188
14 Cl 0.127 0.009 0.424
15 Cl 0.127 0.491 0.424
16 Cl 0.137 0.010 0.960
17 Cl 0.137 0.490 0.960
18 Cl 0.177 0.015 0.694
19 Cl 0.177 0.485 0.694
20 Cl 0.323 0.515 0.194
21 Cl 0.323 0.985 0.194
22 Cl 0.363 0.510 0.460
23 Cl 0.363 0.990 0.460
24 Cl 0.373 0.509 0.924
25 Cl 0.373 0.991 0.924
26 Cl 0.387 0.250 0.688
27 Cl 0.613 0.750 0.312
28 Cl 0.627 0.009 0.076
29 Cl 0.627 0.491 0.076
30 Cl 0.637 0.010 0.540
31 Cl 0.637 0.490 0.540
32 Cl 0.677 0.015 0.806
33 Cl 0.677 0.485 0.806
34 Cl 0.823 0.515 0.306
35 Cl 0.823 0.985 0.306
36 Cl 0.863 0.510 0.040
37 Cl 0.863 0.990 0.040
38 Cl 0.873 0.509 0.576
39 Cl 0.873 0.991 0.576
40 Cl 0.887 0.250 0.812



4.
This entry pairs a crystal structure of Cs2KHoCl6 with its computed X-ray powder pattern. Radiation: copper Kα. Structure: a cell relaxed with PBE.

Peak list (12 most intense, 2θ from 15° to 90°, by angle)
| 2θ (°) | I/Imax |
| --- | --- |
| 22.2 | 100 |
| 27.3 | 20 |
| 31.6 | 61 |
| 39.0 | 45 |
| 45.4 | 41 |
| 51.1 | 23 |
| 56.4 | 14 |
| 61.3 | 26 |
| 70.7 | 12 |
| 75.1 | 17 |
| 83.8 | 13 |
| 88.1 | 15 |

Structure:
a b c (Å): 7.998 7.998 7.998
angles (deg): 60.00 60.00 60.00
Element x y z (fractional)
1 Cs 0.250 0.250 0.250
2 Cs 0.750 0.750 0.750
3 K 0.000 0.000 0.000
4 Ho 0.500 0.500 0.500
5 Cl 0.267 0.267 0.733
6 Cl 0.267 0.733 0.267
7 Cl 0.267 0.733 0.733
8 Cl 0.733 0.267 0.267
9 Cl 0.733 0.267 0.733
10 Cl 0.733 0.733 0.267



5.
This entry pairs a crystal structure of Cs2NaHoCl6 with its computed X-ray powder pattern. Radiation: copper Kα. Structure: a cell relaxed with PBE.

Peak list (12 most intense, 2θ from 15° to 90°, by angle)
| 2θ (°) | I/Imax |
| --- | --- |
| 23.2 | 100 |
| 27.2 | 17 |
| 28.5 | 25 |
| 33.0 | 64 |
| 40.7 | 46 |
| 47.4 | 44 |
| 53.4 | 22 |
| 58.9 | 15 |
| 64.2 | 25 |
| 74.1 | 12 |
| 78.9 | 19 |
| 88.2 | 15 |

Structure:
a b c (Å): 7.677 7.677 7.677
angles (deg): 60.00 60.00 60.00
Element x y z (fractional)
1 Cs 0.250 0.250 0.250
2 Cs 0.750 0.750 0.750
3 Na 0.000 0.000 0.000
4 Ho 0.500 0.500 0.500
5 Cl 0.258 0.258 0.742
6 Cl 0.258 0.742 0.258
7 Cl 0.258 0.742 0.742
8 Cl 0.742 0.258 0.258
9 Cl 0.742 0.258 0.742
10 Cl 0.742 0.742 0.258



6.
This entry pairs a crystal structure of CsICl2 with its computed X-ray powder pattern. Radiation: copper Kα. Structure: a cell relaxed with PBE.

Peak list (12 most intense, 2θ from 15° to 90°, by angle)
| 2θ (°) | I/Imax |
| --- | --- |
| 21.1 | 61 |
| 27.1 | 100 |
| 32.8 | 46 |
| 34.7 | 18 |
| 43.1 | 21 |
| 44.6 | 18 |
| 48.0 | 20 |
| 51.6 | 25 |
| 52.1 | 20 |
| 56.0 | 12 |
| 66.4 | 12 |
| 76.7 | 10 |

Structure:
a b c (Å): 6.572 6.572 12.455
angles (deg): 90.00 90.00 120.00
Element x y z (fractional)
1 Cs 0.000 0.000 0.000
2 Cs 0.333 0.667 0.667
3 Cs 0.667 0.333 0.333
4 I 0.000 0.000 0.500
5 I 0.333 0.667 0.167
6 I 0.667 0.333 0.833
7 Cl 0.000 0.000 0.294
8 Cl 0.000 0.000 0.706
9 Cl 0.333 0.667 0.373
10 Cl 0.333 0.667 0.960
11 Cl 0.667 0.333 0.040
12 Cl 0.667 0.333 0.627



7.
This entry pairs a crystal structure of CsLiICl with its computed X-ray powder pattern. Radiation: copper Kα. Structure: a cell relaxed with PBE.

Peak list (12 most intense, 2θ from 15° to 90°, by angle)
| 2θ (°) | I/Imax |
| --- | --- |
| 19.2 | 100 |
| 23.4 | 62 |
| 27.2 | 84 |
| 30.4 | 65 |
| 36.2 | 78 |
| 38.9 | 32 |
| 43.7 | 24 |
| 45.9 | 39 |
| 50.2 | 32 |
| 55.9 | 21 |
| 61.7 | 16 |
| 68.7 | 23 |

Structure:
a b c (Å): 4.629 4.629 7.606
angles (deg): 90.00 90.00 90.00
Element x y z (fractional)
1 Cs 0.000 0.000 0.000
2 Li 0.500 0.500 0.500
3 I 0.000 0.000 0.500
4 Cl 0.500 0.500 0.000



8.
This entry pairs a crystal structure of CsMo3I3Cl4 with its computed X-ray powder pattern. Radiation: copper Kα. Structure: a cell relaxed with PBE.

Peak list (12 most intense, 2θ from 15° to 90°, by angle)
| 2θ (°) | I/Imax |
| --- | --- |
| 19.7 | 100 |
| 25.1 | 23 |
| 25.8 | 17 |
| 27.4 | 70 |
| 28.6 | 54 |
| 30.1 | 16 |
| 35.0 | 26 |
| 39.8 | 19 |
| 40.0 | 49 |
| 44.1 | 25 |
| 45.4 | 39 |
| 45.8 | 24 |

Structure:
a b c (Å): 10.814 10.814 16.338
angles (deg): 90.00 90.00 120.00
Element x y z (fractional)
1 Cs 0.000 0.000 0.000
2 Cs 0.000 0.000 0.500
3 Cs 0.333 0.667 0.218
4 Cs 0.667 0.333 0.718
5 Mo 0.188 0.657 0.648
6 Mo 0.196 0.522 0.779
7 Mo 0.326 0.804 0.779
8 Mo 0.343 0.531 0.648
9 Mo 0.469 0.812 0.648
10 Mo 0.478 0.674 0.779
11 Mo 0.522 0.196 0.279
12 Mo 0.531 0.343 0.148
13 Mo 0.657 0.188 0.148
14 Mo 0.674 0.478 0.279
15 Mo 0.804 0.326 0.279
16 Mo 0.812 0.469 0.148
17 I 0.027 0.330 0.371
18 I 0.044 0.672 0.055
19 I 0.303 0.973 0.371
20 I 0.328 0.372 0.055
21 I 0.330 0.027 0.871
22 I 0.372 0.328 0.555
23 I 0.628 0.956 0.055
24 I 0.670 0.697 0.371
25 I 0.672 0.044 0.555
26 I 0.697 0.670 0.871
27 I 0.956 0.628 0.555
28 I 0.973 0.303 0.871
29 Cl 0.062 0.654 0.777
30 Cl 0.078 0.392 0.650
31 Cl 0.314 0.922 0.650
32 Cl 0.333 0.667 0.527
33 Cl 0.333 0.667 0.900
34 Cl 0.346 0.408 0.777
35 Cl 0.392 0.078 0.150
36 Cl 0.408 0.346 0.277
37 Cl 0.592 0.938 0.777
38 Cl 0.608 0.686 0.650
39 Cl 0.654 0.062 0.277
40 Cl 0.667 0.333 0.027
41 Cl 0.667 0.333 0.400
42 Cl 0.686 0.608 0.150
43 Cl 0.922 0.314 0.150
44 Cl 0.938 0.592 0.277



Which formula does entry 7 have? CsLiICl



What is the formula in the first record? Cs2HgSbCl6